# Co2Mo4N
Simulated XRD peak list, CuKα. Input: a GGA-PBE-relaxed structure.
No peak broadening, texture or thermal motion is included.

Most intense lines, 2θ from 10° to 80°, in order of falling intensity:
- 2.168 Å, rel. 100
- 2.299 Å, rel. 40
- 1.328 Å, rel. 35
- 1.991 Å, rel. 34
- 2.584 Å, rel. 24
- 1.301 Å, rel. 10

Crystal structure
```
Co2Mo4N
1.0
0.0000 5.6322 5.6322
5.6322 0.0000 5.6322
5.6322 5.6322 0.0000
Co Mo N
8 16 4
Direct
0.1209 0.7930 0.7930
0.2070 0.2070 0.2070
0.2070 0.2070 0.8791
0.2070 0.8791 0.2070
0.7930 0.1209 0.7930
0.7930 0.7930 0.1209
0.7930 0.7930 0.7930
0.8791 0.2070 0.2070
0.0000 0.0000 0.0000
0.0000 0.0000 0.5000
0.0000 0.5000 0.0000
0.1847 0.1847 0.5653
0.1847 0.5653 0.1847
0.1847 0.5653 0.5653
0.4347 0.4347 0.8153
0.4347 0.8153 0.4347
0.4347 0.8153 0.8153
0.5000 0.0000 0.0000
0.5653 0.1847 0.1847
0.5653 0.1847 0.5653
0.5653 0.5653 0.1847
0.8153 0.4347 0.4347
0.8153 0.4347 0.8153
0.8153 0.8153 0.4347
0.0000 0.5000 0.5000
0.5000 0.0000 0.5000
0.5000 0.5000 0.0000
0.5000 0.5000 0.5000
```

# CoMoN3
Simulated XRD peak list, CuKα. Input: a GGA-PBE-relaxed structure.
No peak broadening, texture or thermal motion is included.

Most intense lines, 2θ from 10° to 80°, in order of falling intensity:
- 5.136 Å, rel. 100
- 5.699 Å, rel. 64
- 5.920 Å, rel. 34
- 4.076 Å, rel. 29
- 4.608 Å, rel. 25
- 4.637 Å, rel. 22

Crystal structure
```
CoMoN3
1.0
6.3524 0.0000 0.0000
0.9632 7.7606 0.0000
3.0668 2.3761 7.5147
Co Mo N
4 4 12
Direct
0.1596 0.0419 0.3408
0.1895 0.7466 0.5792
0.8105 0.2534 0.4208
0.8404 0.9581 0.6592
0.3459 0.3105 0.0755
0.4398 0.6251 0.3013
0.5602 0.3749 0.6987
0.6541 0.6895 0.9245
0.0368 0.2538 0.2322
0.1876 0.8160 0.3616
0.3373 0.2360 0.8684
0.3791 0.5263 0.1512
0.4030 0.5936 0.5828
0.4536 0.1232 0.2097
0.5464 0.8768 0.7903
0.5970 0.4064 0.4172
0.6209 0.4737 0.8488
0.6627 0.7640 0.1316
0.8124 0.1840 0.6384
0.9632 0.7462 0.7678
```

# CoMoP2
Simulated XRD peak list, CuKα. Input: a GGA-PBE-relaxed structure.
No peak broadening, texture or thermal motion is included.

Most intense lines, 2θ from 10° to 80°, in order of falling intensity:
- 1.999 Å, rel. 100
- 2.865 Å, rel. 69
- 1.654 Å, rel. 36
- 1.274 Å, rel. 22
- 2.789 Å, rel. 14
- 1.254 Å, rel. 11

Crystal structure
```
CoMoP2
1.0
3.3086 0.0000 0.0000
-1.6543 2.8653 0.0000
0.0000 0.0000 11.1576
Co Mo P
2 2 4
Direct
0.0000 0.0000 0.0000
0.0000 0.0000 0.5000
0.0000 0.0000 0.2500
0.0000 0.0000 0.7500
0.3333 0.6667 0.1088
0.3333 0.6667 0.3912
0.6667 0.3333 0.6088
0.6667 0.3333 0.8912
```

# CoMoP2
Simulated XRD peak list, CuKα. Input: a GGA-PBE-relaxed structure.
No peak broadening, texture or thermal motion is included.

Most intense lines, 2θ from 10° to 80°, in order of falling intensity:
- 2.013 Å, rel. 100
- 2.858 Å, rel. 68
- 1.650 Å, rel. 35
- 1.276 Å, rel. 21
- 2.835 Å, rel. 14
- 2.772 Å, rel. 13

Crystal structure
```
CoMoP2
1.0
3.3004 0.0000 0.0000
-1.6502 2.8583 0.0000
0.0000 0.0000 11.3387
Co Mo P
2 2 4
Direct
0.0000 0.0000 0.2500
0.0000 0.0000 0.7500
0.0000 0.0000 0.0000
0.0000 0.0000 0.5000
0.3333 0.6667 0.1417
0.3333 0.6667 0.3583
0.6667 0.3333 0.6417
0.6667 0.3333 0.8583
```